# 1
For Rb2Fe4O7, a crystal structure in the Materials Project, relaxed with GGA+U gives the theoretical X-ray powder pattern in this record (a wavelength of 1.5418 Å).
Lines closer than 0.1° are merged.

Cell and atoms:
```
data_Rb2Fe4O7
_chemical_formula_sum 'Rb2 Fe4 O7'
_space_group_name_H-M_alt 'P 1'
_space_group_IT_number 1
_cell_length_a 5.366
_cell_length_b 5.366
_cell_length_c 7.056
_cell_angle_alpha 90.00
_cell_angle_beta 90.00
_cell_angle_gamma 120.00
loop_
_space_group_symop_operation_xyz
'x,y,z'
loop_
_atom_site_label
_atom_site_type_symbol
_atom_site_fract_x
_atom_site_fract_y
_atom_site_fract_z
Rb1 Rb 0.333 0.667 0.000
Rb2 Rb 0.667 0.333 0.000
Fe1 Fe 0.000 0.000 0.273
Fe2 Fe 0.000 0.000 0.727
Fe3 Fe 0.333 0.667 0.500
Fe4 Fe 0.667 0.333 0.500
O1 O 0.000 0.000 0.000
O2 O 0.000 0.350 0.661
O3 O 0.000 0.650 0.339
O4 O 0.350 0.000 0.661
O5 O 0.350 0.350 0.339
O6 O 0.650 0.000 0.339
O7 O 0.650 0.650 0.661
```

Main lines, by intensity (10 to 80 degrees two-theta):
| 2θ (°) | Rel. int. |
| --- | --- |
| 33.40 | 100.0 |
| 31.85 | 92.4 |
| 63.07 | 38.2 |
| 42.32 | 36.6 |
| 46.82 | 32.3 |
| 59.70 | 30.8 |

# 2
For Ba6Nd3TiCu6Mo2O24, a crystal structure in the Materials Project, relaxed with GGA+U gives the theoretical X-ray powder pattern in this record (a wavelength of 1.5418 Å).
Lines closer than 0.1° are merged.

Cell and atoms:
```
data_Ba6Nd3TiCu6Mo2O24
_chemical_formula_sum 'Ba6 Nd3 Ti1 Cu6 Mo2 O24'
_space_group_name_H-M_alt 'P 1'
_space_group_IT_number 1
_cell_length_a 8.885
_cell_length_b 8.885
_cell_length_c 13.384
_cell_angle_alpha 113.47
_cell_angle_beta 113.47
_cell_angle_gamma 36.89
loop_
_space_group_symop_operation_xyz
'x,y,z'
loop_
_atom_site_label
_atom_site_type_symbol
_atom_site_fract_x
_atom_site_fract_y
_atom_site_fract_z
Ba1 Ba 0.066 0.066 0.197
Ba2 Ba 0.270 0.270 0.803
Ba3 Ba 0.401 0.401 0.196
Ba4 Ba 0.599 0.599 0.804
Ba5 Ba 0.730 0.730 0.197
Ba6 Ba 0.934 0.934 0.803
Nd1 Nd 0.167 0.167 0.500
Nd2 Nd 0.500 0.500 0.500
Nd3 Nd 0.833 0.833 0.500
Ti1 Ti 0.500 0.500 0.000
Cu1 Cu 0.045 0.045 0.633
Cu2 Cu 0.289 0.289 0.366
Cu3 Cu 0.379 0.379 0.637
Cu4 Cu 0.621 0.621 0.363
Cu5 Cu 0.711 0.711 0.634
Cu6 Cu 0.955 0.955 0.367
Mo1 Mo 0.164 0.164 0.000
Mo2 Mo 0.836 0.836 0.000
O1 O 0.000 0.500 0.000
O2 O 0.041 0.543 0.626
O3 O 0.117 0.117 0.842
O4 O 0.125 0.625 0.375
O5 O 0.160 0.670 0.000
O6 O 0.208 0.710 0.626
O7 O 0.222 0.222 0.158
O8 O 0.290 0.792 0.374
O9 O 0.330 0.840 0.000
O10 O 0.375 0.875 0.625
O11 O 0.448 0.448 0.843
O12 O 0.457 0.959 0.374
O13 O 0.500 0.000 0.000
O14 O 0.543 0.041 0.626
O15 O 0.552 0.552 0.157
O16 O 0.625 0.125 0.375
O17 O 0.670 0.160 0.000
O18 O 0.710 0.208 0.626
O19 O 0.778 0.778 0.842
O20 O 0.792 0.290 0.374
O21 O 0.840 0.330 0.000
O22 O 0.875 0.375 0.625
O23 O 0.883 0.883 0.158
O24 O 0.959 0.457 0.374
```

Main lines, by intensity (10 to 80 degrees two-theta):
| 2θ (°) | Rel. int. |
| --- | --- |
| 31.54 | 100.0 |
| 31.85 | 54.6 |
| 56.55 | 37.6 |
| 45.66 | 35.5 |
| 37.26 | 17.9 |
| 39.02 | 15.9 |

# 3
For Li3FePCO7, a crystal structure in the Materials Project, relaxed with GGA+U gives the theoretical X-ray powder pattern in this record (a wavelength of 1.5418 Å).
Lines closer than 0.1° are merged.

Cell and atoms:
```
data_Li3FePCO7
_chemical_formula_sum 'Li12 Fe4 P4 C4 O28'
_space_group_name_H-M_alt 'P 1'
_space_group_IT_number 1
_cell_length_a 6.491
_cell_length_b 8.537
_cell_length_c 9.958
_cell_angle_alpha 84.82
_cell_angle_beta 89.96
_cell_angle_gamma 89.56
loop_
_space_group_symop_operation_xyz
'x,y,z'
loop_
_atom_site_label
_atom_site_type_symbol
_atom_site_fract_x
_atom_site_fract_y
_atom_site_fract_z
Li1 Li 0.000 0.000 0.000
Li2 Li 0.000 0.001 0.504
Li3 Li 0.222 0.183 0.742
Li4 Li 0.230 0.175 0.245
Li5 Li 0.264 0.628 0.507
Li6 Li 0.505 0.806 0.239
Li7 Li 0.507 0.798 0.729
Li8 Li 0.735 0.626 0.506
Li9 Li 0.737 0.626 0.987
Li10 Li 0.775 0.177 0.246
Li11 Li 0.778 0.183 0.741
Li12 Li 0.998 0.556 0.719
Fe1 Fe 0.249 0.635 0.978
Fe2 Fe 0.500 0.236 0.514
Fe3 Fe 0.501 0.237 0.013
Fe4 Fe 0.997 0.564 0.233
P1 P 0.001 0.312 0.977
P2 P 0.001 0.316 0.478
P3 P 0.500 0.493 0.757
P4 P 0.502 0.490 0.258
C1 C 0.002 0.867 0.267
C2 C 0.007 0.865 0.768
C3 C 0.500 0.939 0.968
C4 C 0.501 0.938 0.469
O1 O 0.000 0.330 0.822
O2 O 0.000 0.478 0.030
O3 O 0.000 0.482 0.525
O4 O 0.000 0.751 0.362
O5 O 0.001 0.010 0.800
O6 O 0.001 0.831 0.646
O7 O 0.002 0.011 0.299
O8 O 0.003 0.328 0.319
O9 O 0.004 0.833 0.143
O10 O 0.015 0.752 0.868
O11 O 0.187 0.212 0.532
O12 O 0.188 0.211 0.033
O13 O 0.310 0.593 0.710
O14 O 0.313 0.591 0.198
O15 O 0.495 0.474 0.918
O16 O 0.497 0.475 0.414
O17 O 0.498 0.793 0.934
O18 O 0.500 0.792 0.440
O19 O 0.501 0.051 0.371
O20 O 0.501 0.325 0.709
O21 O 0.501 0.968 0.092
O22 O 0.501 0.974 0.592
O23 O 0.502 0.053 0.873
O24 O 0.504 0.324 0.209
O25 O 0.686 0.593 0.203
O26 O 0.690 0.591 0.710
O27 O 0.814 0.214 0.035
O28 O 0.815 0.213 0.530
```

Main lines, by intensity (10 to 80 degrees two-theta):
| 2θ (°) | Rel. int. |
| --- | --- |
| 27.49 | 100.0 |
| 10.40 | 99.1 |
| 25.61 | 39.6 |
| 36.83 | 36.6 |
| 19.89 | 34.3 |
| 26.36 | 32.6 |

# 4
For Li9Mn7O16, a crystal structure in the Materials Project, relaxed with GGA+U gives the theoretical X-ray powder pattern in this record (a wavelength of 1.5418 Å).
Lines closer than 0.1° are merged.

Cell and atoms:
```
data_Li9Mn7O16
_chemical_formula_sum 'Li9 Mn7 O16'
_space_group_name_H-M_alt 'P 1'
_space_group_IT_number 1
_cell_length_a 3.018
_cell_length_b 5.104
_cell_length_c 19.976
_cell_angle_alpha 91.83
_cell_angle_beta 91.47
_cell_angle_gamma 102.77
loop_
_space_group_symop_operation_xyz
'x,y,z'
loop_
_atom_site_label
_atom_site_type_symbol
_atom_site_fract_x
_atom_site_fract_y
_atom_site_fract_z
Li1 Li 0.000 0.000 0.000
Li2 Li 0.042 0.298 0.812
Li3 Li 0.188 0.938 0.437
Li4 Li 0.273 0.551 0.054
Li5 Li 0.439 0.189 0.688
Li6 Li 0.561 0.811 0.312
Li7 Li 0.727 0.449 0.946
Li8 Li 0.812 0.062 0.563
Li9 Li 0.958 0.702 0.188
Mn1 Mn 0.128 0.626 0.626
Mn2 Mn 0.234 0.243 0.249
Mn3 Mn 0.382 0.875 0.880
Mn4 Mn 0.500 0.500 0.500
Mn5 Mn 0.618 0.125 0.120
Mn6 Mn 0.766 0.757 0.751
Mn7 Mn 0.872 0.374 0.374
O1 O 0.024 0.889 0.098
O2 O 0.076 0.485 0.717
O3 O 0.183 0.768 0.535
O4 O 0.191 0.106 0.340
O5 O 0.228 0.367 0.156
O6 O 0.334 0.716 0.961
O7 O 0.436 0.018 0.785
O8 O 0.442 0.357 0.591
O9 O 0.558 0.643 0.409
O10 O 0.564 0.982 0.215
O11 O 0.666 0.284 0.039
O12 O 0.772 0.633 0.844
O13 O 0.809 0.894 0.660
O14 O 0.817 0.232 0.465
O15 O 0.924 0.515 0.283
O16 O 0.976 0.111 0.902
```

Main lines, by intensity (10 to 80 degrees two-theta):
| 2θ (°) | Rel. int. |
| --- | --- |
| 18.21 | 100.0 |
| 40.36 | 36.1 |
| 44.41 | 27.5 |
| 44.07 | 27.3 |
| 33.73 | 18.6 |
| 61.71 | 16.6 |

# 5
For CaCo2O5, a crystal structure in the Materials Project, relaxed with GGA+U gives the theoretical X-ray powder pattern in this record (a wavelength of 1.5418 Å).
Lines closer than 0.1° are merged.

Cell and atoms:
```
data_CaCo2O5
_chemical_formula_sum 'Ca2 Co4 O10'
_space_group_name_H-M_alt 'P 1'
_space_group_IT_number 1
_cell_length_a 3.474
_cell_length_b 11.270
_cell_length_c 5.074
_cell_angle_alpha 90.00
_cell_angle_beta 90.00
_cell_angle_gamma 90.00
loop_
_space_group_symop_operation_xyz
'x,y,z'
loop_
_atom_site_label
_atom_site_type_symbol
_atom_site_fract_x
_atom_site_fract_y
_atom_site_fract_z
Ca1 Ca 0.250 0.250 0.123
Ca2 Ca 0.750 0.750 0.877
Co1 Co 0.250 0.597 0.408
Co2 Co 0.250 0.903 0.408
Co3 Co 0.750 0.097 0.592
Co4 Co 0.750 0.403 0.592
O1 O 0.250 0.070 0.416
O2 O 0.250 0.430 0.416
O3 O 0.250 0.629 0.084
O4 O 0.250 0.750 0.548
O5 O 0.250 0.871 0.084
O6 O 0.750 0.129 0.916
O7 O 0.750 0.250 0.452
O8 O 0.750 0.371 0.916
O9 O 0.750 0.570 0.584
O10 O 0.750 0.930 0.584
```

Main lines, by intensity (10 to 80 degrees two-theta):
| 2θ (°) | Rel. int. |
| --- | --- |
| 17.48 | 100.0 |
| 31.20 | 92.4 |
| 35.19 | 75.8 |
| 23.59 | 59.8 |
| 29.59 | 59.5 |
| 32.22 | 55.3 |